Entry 1:
Diffraction record for Li4Cu2Si3O10. The powder XRD pattern is computed, not measured: it uses a structure optimized by DFT (PBE) and Cu Kα (λ = 1.5418 Å).
No peak broadening, texture or thermal motion is included.

Structural model:
```
data_Li4Cu2Si3O10
_chemical_formula_sum 'Li16 Cu8 Si12 O40'
_space_group_name_H-M_alt 'C 1 2/c 1'
_space_group_IT_number 15
_space_group_name_Hall '-C 2yc'
_cell_length_a 9.3224
_cell_length_b 5.5086
_cell_length_c 16.3361
_cell_angle_alpha 90.00
_cell_angle_beta 97.50
_cell_angle_gamma 90.00
loop_
_atom_site_label
_atom_site_fract_x
_atom_site_fract_y
_atom_site_fract_z
Li1 0.1976 0.1229 0.2242
Li2 0.2441 0.4225 0.4483
Cu1 0.0790 0.3867 0.0809
Si1 0.0000 0.3927 0.7500
Si2 0.0653 0.0938 0.9021
O1 0.0657 0.3459 0.9583
O2 0.0970 0.0314 0.1122
O3 0.1040 0.2065 0.8113
O4 0.1130 0.4537 0.2030
O5 0.1948 0.0876 0.4339
```

Principal peaks in the range 2θ from 5° to 70°, by angle:
index, 2theta, intensity
0 0 2, 10.9, 46
1 1 0, 18.8, 27
2 0 0, 19.2, 100
1 1 -2, 21.1, 22
1 1 -3, 24.2, 33
1 1 -4, 28.0, 25
0 0 6, 33.2, 100
3 1 1, 34.4, 24
0 2 3, 36.6, 27
2 2 3, 42.7, 21

---

Entry 2:
Diffraction record for Zn2SnOsSe. The powder XRD pattern is computed, not measured: it uses a structure optimized by DFT (PBE) and Cu Kα (λ = 1.5418 Å).
No peak broadening, texture or thermal motion is included.

Structural model:
```
data_Zn2SnOsSe
_chemical_formula_sum 'Zn2 Sn1 Os1 Se1'
_space_group_name_H-M_alt 'P 4/m m m'
_space_group_IT_number 123
_space_group_name_Hall '-P 4 2'
_cell_length_a 4.6264
_cell_length_b 4.6264
_cell_length_c 5.5616
_cell_angle_alpha 90.00
_cell_angle_beta 90.00
_cell_angle_gamma 90.00
loop_
_atom_site_label
_atom_site_fract_x
_atom_site_fract_y
_atom_site_fract_z
Zn1 0.0000 0.5000 0.0000
Sn1 0.0000 0.0000 0.5000
Os1 0.5000 0.5000 0.5000
Se1 0.0000 0.0000 0.0000
```

Principal peaks in the range 2θ from 5° to 70°, by angle:
index, 2theta, intensity
1 0 1, 25.0, 28
1 1 0, 27.3, 32
1 1 1, 31.7, 100
0 0 2, 32.2, 49
2 0 0, 38.9, 59
1 1 2, 42.7, 20
2 0 2, 51.4, 53
2 2 0, 56.2, 20
3 1 1, 66.0, 24
2 2 2, 66.3, 24

---

Entry 3:
Diffraction record for La3Zn22. The powder XRD pattern is computed, not measured: it uses a structure optimized by DFT (PBE) and Cu Kα (λ = 1.5418 Å).
No peak broadening, texture or thermal motion is included.

Structural model:
```
data_La3Zn22
_chemical_formula_sum 'La12 Zn88'
_space_group_name_H-M_alt 'I 41/a m d'
_space_group_IT_number 141
_cell_length_a 8.9775
_cell_length_b 8.9775
_cell_length_c 21.4427
_cell_angle_alpha 90.00
_cell_angle_beta 90.00
_cell_angle_gamma 90.00
loop_
_space_group_symop_operation_xyz
'x,y,z'
'-x,-y,-z'
'-y+1/4,x+3/4,z+1/4'
'y+1/4,-x+3/4,-z+1/4'
'-x+1/2,-y,z+1/2'
'x+1/2,y,-z+1/2'
'y+1/4,-x+1/4,z+3/4'
'-y+1/4,x+1/4,-z+3/4'
'x,-y,-z'
'-x,y,z'
'-y+1/4,-x+1/4,-z+3/4'
'y+1/4,x+1/4,z+3/4'
'-x+1/2,y,-z+1/2'
'x+1/2,-y,z+1/2'
'y+1/4,x+3/4,-z+1/4'
'-y+1/4,-x+3/4,z+1/4'
'x+1/2,y+1/2,z+1/2'
'-x+1/2,-y+1/2,-z+1/2'
'-y+3/4,x+1/4,z+3/4'
'y+3/4,-x+1/4,-z+3/4'
'-x,-y+1/2,z'
'x,y+1/2,-z'
'y+3/4,-x+3/4,z+1/4'
'-y+3/4,x+3/4,-z+1/4'
'x+1/2,-y+1/2,-z+1/2'
'-x+1/2,y+1/2,z+1/2'
'-y+3/4,-x+3/4,-z+1/4'
'y+3/4,x+3/4,z+1/4'
'-x,y+1/2,-z'
'x,-y+1/2,z'
'y+3/4,x+1/4,-z+3/4'
'-y+3/4,-x+1/4,z+3/4'
loop_
_atom_site_label
_atom_site_fract_x
_atom_site_fract_y
_atom_site_fract_z
La1 0.0000 0.2500 0.2533
La2 0.0000 0.2500 0.8750
Zn1 0.0000 0.0000 0.0000
Zn2 0.0000 0.0247 0.3771
Zn3 0.0000 0.0994 0.7360
Zn4 0.0000 0.1035 0.1158
Zn5 0.2316 0.0072 0.1887
```

Principal peaks in the range 2θ from 5° to 70°, by angle:
index, 2theta, intensity
2 1 3, 25.4, 15
2 1 5, 30.5, 22
0 0 8, 33.4, 16
3 0 5, 36.6, 32
3 2 3, 38.3, 96
2 0 8, 39.1, 100
4 0 0, 40.2, 69
3 2 5, 42.0, 30
2 2 8, 44.2, 26
4 2 8, 57.3, 21

---

Entry 4:
Diffraction record for U3Ag3PtSe8. The powder XRD pattern is computed, not measured: it uses a structure optimized by DFT (PBE) and Cu Kα (λ = 1.5418 Å).
No peak broadening, texture or thermal motion is included.

Structural model:
```
data_U3Ag3PtSe8
_chemical_formula_sum 'U6 Ag6 Pt2 Se16'
_space_group_name_H-M_alt 'C 1 2/m 1'
_space_group_IT_number 12
_space_group_name_Hall '-C 2y'
_cell_length_a 13.8196
_cell_length_b 7.9965
_cell_length_c 8.1986
_cell_angle_alpha 90.00
_cell_angle_beta 124.15
_cell_angle_gamma 90.00
loop_
_atom_site_label
_atom_site_fract_x
_atom_site_fract_y
_atom_site_fract_z
U1 0.0000 0.0000 0.0000
U2 0.2500 0.2500 0.0000
Ag1 0.0000 0.5000 0.5000
Ag2 0.2500 0.2500 0.5000
Pt1 0.0000 0.5000 0.0000
Se1 0.9996 0.2623 0.2370
Se2 0.2316 0.5000 0.2331
Se3 0.2493 0.0000 0.2479
```

Principal peaks in the range 2θ from 5° to 70°, by angle:
index, 2theta, intensity
0 0 1, 13.0, 25
2 2 -1, 26.1, 12
4 0 -2, 27.2, 14
2 2 -2, 31.3, 100
4 0 -4, 44.2, 38
0 4 0, 45.4, 35
6 2 -1, 47.5, 7
0 0 4, 54.1, 7
4 4 0, 56.1, 12
4 4 -4, 65.2, 12

---

Q: Which formula does entry 4 have?
A: U3Ag3PtSe8

---

Q: What is the formula in the fourth record?
A: U3Ag3PtSe8